The following is a theoretical PXRD pattern of PrCd3Pb3. It was derived from a structure optimized by DFT (GGA-PBE), using Cu Kα, 1.54184 Å.
Intensities are scaled so that the largest is 100.

Cell and atoms:
```
data_PrCd3Pb3
_cell_length_a 8.0298
_cell_length_b 8.0298
_cell_length_c 8.0298
_cell_angle_alpha 90.00
_cell_angle_beta 90.00
_cell_angle_gamma 90.00
_space_group_name_H-M_alt 'P m -3 n'
_space_group_IT_number 223
_space_group_name_Hall '-P 4n 2 3'
loop_
_atom_site_label
_atom_site_type_symbol
_atom_site_fract_x
_atom_site_fract_y
_atom_site_fract_z
_atom_site_occupancy
Pr1 Pr 0.0000 0.0000 0.0000 1
Cd1 Cd 0.0000 0.2500 0.5000 1
Pb1 Pb 0.0000 0.5000 0.2500 1
```

Main lines, sorted by position (2θ = 10–80°):
2θ 15.61, rel. 26, (1 1 0); 2θ 22.14, rel. 41, (2 0 0); 2θ 27.20, rel. 100, (2 1 1); 2θ 38.85, rel. 41, (2 2 2); 2θ 42.11, rel. 62, (3 2 1); 2θ 45.17, rel. 36, (4 0 0); 2θ 50.85, rel. 18, (4 2 0); 2θ 63.45, rel. 18, (5 2 1); 2θ 65.79, rel. 24, (4 4 0); 2θ 72.57, rel. 19, (6 1 1)



The following is a theoretical PXRD pattern of Tc2Ru5Rh2. It was derived from a structure optimized by DFT (GGA-PBE), using Cu Kα, 1.54184 Å.
Intensities are scaled so that the largest is 100.

Cell and atoms:
```
data_Tc2Ru5Rh2
_cell_length_a 8.5832
_cell_length_b 3.8410
_cell_length_c 8.1425
_cell_angle_alpha 90.00
_cell_angle_beta 108.73
_cell_angle_gamma 90.00
_space_group_name_H-M_alt 'C 1 2/m 1'
_space_group_IT_number 12
loop_
_space_group_symop_operation_xyz
'x,y,z'
'-x,-y,-z'
'-x,y,-z'
'x,-y,z'
'x+1/2,y+1/2,z'
'-x+1/2,-y+1/2,-z'
'-x+1/2,y+1/2,-z'
'x+1/2,-y+1/2,z'
loop_
_atom_site_label
_atom_site_type_symbol
_atom_site_fract_x
_atom_site_fract_y
_atom_site_fract_z
_atom_site_occupancy
Tc1 Tc 0.1679 0.0000 0.0538 1
Ru1 Ru 0.0001 0.5000 0.1666 1
Ru2 Ru 0.0000 0.5000 0.5000 1
Ru3 Ru 0.1652 0.0000 0.7261 1
Rh1 Rh 0.1669 0.0000 0.3881 1
```

Main lines, sorted by position (2θ = 10–80°):
2θ 40.73, rel. 100, (3 1 0); 2θ 47.31, rel. 32, (0 2 0); 2θ 47.54, rel. 16, (2 0 3); 2θ 69.17, rel. 15, (4 2 -3); 2θ 69.35, rel. 15, (6 0 0)



The following is a theoretical PXRD pattern of Ba2Hg5Pb5. It was derived from a structure optimized by DFT (GGA-PBE), using Cu Kα, 1.54184 Å.
Intensities are scaled so that the largest is 100.

Cell and atoms:
```
data_Ba2Hg5Pb5
_cell_length_a 5.3517
_cell_length_b 6.7464
_cell_length_c 10.9400
_cell_angle_alpha 90.00
_cell_angle_beta 90.00
_cell_angle_gamma 90.00
_space_group_name_H-M_alt 'P m m m'
_space_group_IT_number 47
loop_
_space_group_symop_operation_xyz
'x,y,z'
'-x,-y,-z'
'-x,-y,z'
'x,y,-z'
'x,-y,-z'
'-x,y,z'
'-x,y,-z'
'x,-y,z'
loop_
_atom_site_label
_atom_site_type_symbol
_atom_site_fract_x
_atom_site_fract_y
_atom_site_fract_z
_atom_site_occupancy
Ba1 Ba 0.0000 0.0000 0.0000 1
Ba2 Ba 0.0000 0.5000 0.5000 1
Hg1 Hg 0.0000 0.0000 0.3320 1
Hg2 Hg 0.0000 0.5000 0.1600 1
Hg3 Hg 0.5000 0.5000 0.0000 1
Pb1 Pb 0.5000 0.0000 0.5000 1
Pb2 Pb 0.5000 0.2499 0.2444 1
```

Main lines, sorted by position (2θ = 10–80°):
2θ 15.43, rel. 40, (0 1 1); 2θ 31.15, rel. 32, (0 2 2); 2θ 31.35, rel. 56, (1 2 0); 2θ 32.54, rel. 100, (1 1 3); 2θ 33.49, rel. 56, (2 0 0); 2θ 35.48, rel. 66, (1 2 2); 2θ 36.91, rel. 33, (1 0 4); 2θ 50.65, rel. 29, (1 3 3); 2θ 57.45, rel. 24, (0 2 6); 2θ 68.16, rel. 29, (2 2 6)



The following is a theoretical PXRD pattern of Na2Tm2GeO6. It was derived from a structure optimized by DFT (GGA-PBE), using Cu Kα, 1.54184 Å.
Intensities are scaled so that the largest is 100.

Cell and atoms:
```
data_Na2Tm2GeO6
_cell_length_a 5.6186
_cell_length_b 9.6889
_cell_length_c 5.8562
_cell_angle_alpha 90.00
_cell_angle_beta 104.75
_cell_angle_gamma 90.00
_space_group_name_H-M_alt 'C 1 2/m 1'
_space_group_IT_number 12
loop_
_space_group_symop_operation_xyz
'x,y,z'
'-x,-y,-z'
'-x,y,-z'
'x,-y,z'
'x+1/2,y+1/2,z'
'-x+1/2,-y+1/2,-z'
'-x+1/2,y+1/2,-z'
'x+1/2,-y+1/2,z'
loop_
_atom_site_label
_atom_site_type_symbol
_atom_site_fract_x
_atom_site_fract_y
_atom_site_fract_z
_atom_site_occupancy
Na1 Na 0.0000 0.1501 0.0000 1
Tm1 Tm 0.0000 0.3348 0.5000 1
Ge1 Ge 0.0000 0.0000 0.5000 1
O1 O 0.1983 0.1534 0.6890 1
O2 O 0.2352 0.0000 0.3115 1
```

Main lines, sorted by position (2θ = 10–80°):
2θ 15.65, rel. 100, (0 0 1); 2θ 31.60, rel. 17, (0 0 2); 2θ 32.24, rel. 26, (1 3 0); 2θ 32.73, rel. 13, (2 0 -1); 2θ 32.98, rel. 15, (2 0 0); 2θ 34.07, rel. 24, (1 3 -1); 2θ 37.91, rel. 42, (1 3 1); 2θ 39.70, rel. 18, (2 0 -2); 2θ 48.84, rel. 13, (1 3 2); 2θ 55.16, rel. 12, (1 3 -3)



The following is a theoretical PXRD pattern of NaPb4. It was derived from a structure optimized by DFT (GGA-PBE), using Cu Kα, 1.54184 Å.
Intensities are scaled so that the largest is 100.

Cell and atoms:
```
data_NaPb4
_cell_length_a 6.1780
_cell_length_b 6.6972
_cell_length_c 9.0176
_cell_angle_alpha 109.80
_cell_angle_beta 91.68
_cell_angle_gamma 117.14
_space_group_name_H-M_alt 'P -1'
_space_group_IT_number 2
loop_
_space_group_symop_operation_xyz
'x,y,z'
'-x,-y,-z'
loop_
_atom_site_label
_atom_site_type_symbol
_atom_site_fract_x
_atom_site_fract_y
_atom_site_fract_z
_atom_site_occupancy
Na1 Na 0.1592 0.0034 0.2492 1
Pb1 Pb 0.0404 0.4042 0.1471 1
Pb2 Pb 0.2422 0.7932 0.5409 1
Pb3 Pb 0.3569 0.3938 0.6497 1
Pb4 Pb 0.4371 0.2025 0.9592 1
```

Main lines, sorted by position (2θ = 10–80°):
2θ 29.34, rel. 26, (-1 1 2); 2θ 30.03, rel. 24, (1 0 2); 2θ 31.24, rel. 80, (0 2 -2); 2θ 32.76, rel. 61, (2 0 -1); 2θ 33.12, rel. 100, (2 -2 1); 2θ 33.58, rel. 46, (-1 2 1); 2θ 33.90, rel. 45, (1 -1 3); 2θ 34.01, rel. 44, (1 1 1); 2θ 51.08, rel. 21, (-3 2 2); 2θ 57.45, rel. 20, (1 -4 1)



The following is a theoretical PXRD pattern of Pm4Y3Bi8. It was derived from a structure optimized by DFT (GGA-PBE), using Cu Kα, 1.54184 Å.
Intensities are scaled so that the largest is 100.

Cell and atoms:
```
data_Pm4Y3Bi8
_cell_length_a 12.7535
_cell_length_b 12.7757
_cell_length_c 8.9857
_cell_angle_alpha 90.00
_cell_angle_beta 134.69
_cell_angle_gamma 90.00
_space_group_name_H-M_alt 'C 1 2/m 1'
_space_group_IT_number 12
loop_
_space_group_symop_operation_xyz
'x,y,z'
'-x,-y,-z'
'-x,y,-z'
'x,-y,z'
'x+1/2,y+1/2,z'
'-x+1/2,-y+1/2,-z'
'-x+1/2,y+1/2,-z'
'x+1/2,-y+1/2,z'
loop_
_atom_site_label
_atom_site_type_symbol
_atom_site_fract_x
_atom_site_fract_y
_atom_site_fract_z
_atom_site_occupancy
Pm1 Pm 0.0000 0.0000 0.0000 1
Pm2 Pm 0.0000 0.5000 0.5000 1
Pm3 Pm 0.2500 0.2500 0.0000 1
Y1 Y 0.0000 0.5000 0.0000 1
Y2 Y 0.2500 0.2500 0.5000 1
Bi1 Bi 0.0000 0.2438 0.5000 1
Bi2 Bi 0.0000 0.2520 0.0000 1
Bi3 Bi 0.2462 0.0000 0.5050 1
Bi4 Bi 0.2465 0.0000 0.9879 1
```

Main lines, sorted by position (2θ = 10–80°):
2θ 24.07, rel. 9, (2 2 0); 2θ 24.22, rel. 9, (2 2 -2); 2θ 27.95, rel. 100, (0 4 0); 2θ 39.76, rel. 13, (4 0 0); 2θ 39.94, rel. 52, (0 4 2); 2θ 40.14, rel. 13, (4 0 -4); 2θ 49.30, rel. 14, (4 4 0); 2θ 49.61, rel. 14, (4 4 -4); 2θ 65.34, rel. 18, (0 8 2); 2θ 72.29, rel. 9, (4 4 2)



The following is a theoretical PXRD pattern of Tm6Sn5. It was derived from a structure optimized by DFT (GGA-PBE), using Cu Kα, 1.54184 Å.
Intensities are scaled so that the largest is 100.

Cell and atoms:
```
data_Tm6Sn5
_cell_length_a 4.9812
_cell_length_b 15.1416
_cell_length_c 8.0407
_cell_angle_alpha 90.00
_cell_angle_beta 90.06
_cell_angle_gamma 90.00
_space_group_name_H-M_alt 'C 1 2/m 1'
_space_group_IT_number 12
loop_
_space_group_symop_operation_xyz
'x,y,z'
'-x,-y,-z'
'-x,y,-z'
'x,-y,z'
'x+1/2,y+1/2,z'
'-x+1/2,-y+1/2,-z'
'-x+1/2,y+1/2,-z'
'x+1/2,-y+1/2,z'
loop_
_atom_site_label
_atom_site_type_symbol
_atom_site_fract_x
_atom_site_fract_y
_atom_site_fract_z
_atom_site_occupancy
Tm1 Tm 0.0003 0.0000 0.2416 1
Tm2 Tm 0.0000 0.3315 0.2634 1
Sn1 Sn 0.0000 0.1487 0.5000 1
Sn2 Sn 0.0000 0.1719 0.0000 1
Sn3 Sn 0.0000 0.5000 0.0000 1
```

Main lines, sorted by position (2θ = 10–80°):
2θ 33.71, rel. 100, (1 3 2); 2θ 35.57, rel. 21, (0 6 0); 2θ 36.06, rel. 22, (2 0 0); 2θ 45.10, rel. 11, (0 0 4); 2θ 51.56, rel. 15, (2 6 0); 2θ 58.72, rel. 10, (0 6 4); 2θ 59.06, rel. 11, (2 0 4); 2θ 62.71, rel. 15, (1 9 2); 2θ 63.34, rel. 17, (3 3 2); 2θ 70.88, rel. 11, (2 6 4)